Structure and calculated powder diffraction line list of Ba2LaTaCo2O8 (the PBE+U geometry in OQMD; a wavelength of 1.5418 Å).
Neutral-atom scattering factors, no anomalous dispersion.

Peak list (10 most intense, 10 to 90 degrees two-theta, in order of rising 2θ)
| Position (°2θ) | I/Imax | index |
| --- | --- | --- |
| 23.38 | 16 | 1 0 1 |
| 26.82 | 13 | 1 0 2 |
| 31.49 | 52 | 1 1 0 |
| 31.78 | 100 | 1 0 3 |
| 45.14 | 32 | 2 0 0 |
| 56.25 | 40 | 2 1 3 |
| 56.79 | 14 | 1 1 6 |
| 65.74 | 10 | 2 2 0 |
| 66.40 | 11 | 2 0 6 |
| 74.72 | 9 | 3 1 0 |

Cell and atoms:
```
Ba2LaTaCo2O8
1.0
4.018 0.000 0.000
0.000 4.018 0.000
0.000 0.000 11.844
Ba La Ta Co O
2 1 1 2 8
Direct
0.000 0.000 0.195
0.000 0.000 0.805
0.000 0.000 0.500
0.500 0.500 0.000
0.500 0.500 0.345
0.500 0.500 0.655
0.000 0.500 0.000
0.000 0.500 0.370
0.000 0.500 0.630
0.500 0.000 0.000
0.500 0.000 0.370
0.500 0.000 0.630
0.500 0.500 0.166
0.500 0.500 0.834
```